No. 1
Structure and computed powder diffractogram of SmCd2 (a cell relaxed with PBE; λ = 1.5418 Å (Cu Kα)).
Intensities are scaled so that the largest is 1000.

Atomic structure:
Cell lengths 5.0504, 5.0504, 3.4765 Å; angles 90.00, 90.00, 120.00 degrees
Fractional coordinates of all 3 atoms:
1 Sm 0.0000 0.0000 0.0000
2 Cd 0.3333 0.6667 0.5000
3 Cd 0.6667 0.3333 0.5000

Peak list (10 most intense, 10 to 90 degrees two-theta, low angle first)
2θ (°)	intensity	index
32.9	1000	1 0 1
35.6	835	1 1 0
49.2	318	2 0 1
52.7	88	0 0 2
62.2	311	2 1 1
63.8	146	3 0 0
65.2	274	1 1 2
75.3	90	2 2 0
84.6	132	3 1 1
87.3	125	3 0 2

No. 2
Structure and computed powder diffractogram of SmTlCd (a cell relaxed with PBE; λ = 1.5418 Å (Cu Kα)).
Intensities are scaled so that the largest is 1000.

Atomic structure:
Cell lengths 5.0157, 5.0157, 7.3878 Å; angles 90.00, 90.00, 120.00 degrees
Fractional coordinates of all 6 atoms:
1 Sm 0.0000 0.0000 0.0000
2 Sm 0.0000 0.0000 0.5000
3 Tl 0.3333 0.6667 0.2500
4 Tl 0.6667 0.3333 0.7500
5 Cd 0.3333 0.6667 0.7500
6 Cd 0.6667 0.3333 0.2500

Peak list (10 most intense, 10 to 90 degrees two-theta, low angle first)
2θ (°)	intensity	index
23.8	113	1 0 1
31.8	1000	1 0 2
35.8	833	1 1 0
43.6	121	1 1 2
48.6	306	2 0 2
61.8	297	2 1 2
62.4	329	1 1 4
64.3	151	3 0 0
84.6	125	3 1 2
85.1	141	3 0 4

No. 3
Structure and computed powder diffractogram of Sm2TlCd (a cell relaxed with PBE; λ = 1.5418 Å (Cu Kα)).
Intensities are scaled so that the largest is 1000.

Atomic structure:
Cell lengths 7.6977, 7.6977, 7.6977 Å; angles 90.00, 90.00, 90.00 degrees
Fractional coordinates of all 16 atoms:
1 Sm 0.2500 0.2500 0.2500
2 Sm 0.2500 0.2500 0.7500
3 Sm 0.2500 0.7500 0.2500
4 Sm 0.2500 0.7500 0.7500
5 Sm 0.7500 0.2500 0.2500
6 Sm 0.7500 0.2500 0.7500
7 Sm 0.7500 0.7500 0.2500
8 Sm 0.7500 0.7500 0.7500
9 Tl 0.0000 0.0000 0.0000
10 Tl 0.0000 0.5000 0.5000
11 Tl 0.5000 0.0000 0.5000
12 Tl 0.5000 0.5000 0.0000
13 Cd 0.0000 0.0000 0.5000
14 Cd 0.0000 0.5000 0.0000
15 Cd 0.5000 0.0000 0.0000
16 Cd 0.5000 0.5000 0.5000

Peak list (10 most intense, 10 to 90 degrees two-theta, low angle first)
2θ (°)	intensity	index
20.0	41	1 1 1
32.9	1000	2 2 0
38.8	25	3 1 1
47.2	183	4 0 0
51.8	12	3 3 1
58.8	380	4 2 2
69.0	117	4 4 0
72.7	9	5 3 1
78.6	163	6 2 0
87.9	42	4 4 4

Copy entry 1 word for word.
Structure and computed powder diffractogram of SmCd2 (a cell relaxed with PBE; λ = 1.5418 Å (Cu Kα)).
Intensities are scaled so that the largest is 1000.

Atomic structure:
Cell lengths 5.0504, 5.0504, 3.4765 Å; angles 90.00, 90.00, 120.00 degrees
Fractional coordinates of all 3 atoms:
1 Sm 0.0000 0.0000 0.0000
2 Cd 0.3333 0.6667 0.5000
3 Cd 0.6667 0.3333 0.5000

Peak list (10 most intense, 10 to 90 degrees two-theta, low angle first)
2θ (°)	intensity	index
32.9	1000	1 0 1
35.6	835	1 1 0
49.2	318	2 0 1
52.7	88	0 0 2
62.2	311	2 1 1
63.8	146	3 0 0
65.2	274	1 1 2
75.3	90	2 2 0
84.6	132	3 1 1
87.3	125	3 0 2